Starting from a GGA+U-relaxed structure, the X-ray powder pattern of V6O7F5 was simulated for Cu Kα X-rays.
Kinematic intensities with the Lorentz-polarization factor, no thermal factor.

Largest 8 diffraction maxima, low angle first, 2θ = 10–80°:
| d [Å] | Rel. int. |
| --- | --- |
| 3.396 | 100 |
| 3.247 | 100 |
| 2.585 | 98 |
| 2.288 | 24 |
| 2.241 | 22 |
| 1.759 | 62 |
| 1.717 | 55 |
| 1.397 | 55 |

Atomic structure:
```
18
Lattice="3.396 -3.247 0.000 3.396 3.247 0.000 -0.013 0.000 9.291" Properties=species:S:1:pos:R:3 pbc="T T T"
V 0.000 0.000 0.000
V 0.185 -0.026 3.025
V 3.341 -0.020 1.612
V 3.438 -0.020 7.679
V 3.389 -0.229 4.646
V 6.594 -0.026 6.266
O 3.339 1.962 7.827
O 3.440 1.962 1.464
O 2.133 -0.056 3.100
O 4.646 -0.056 6.191
O 3.335 -1.992 7.844
O 3.444 -1.992 1.447
O 3.389 -2.126 4.646
F 3.389 1.841 4.646
F 2.040 -0.007 9.265
F 1.974 -0.090 6.194
F 4.739 -0.007 0.026
F 4.804 -0.090 3.097
```